The following is a simulated PXRD pattern of Ho3Ni4Ir4. It was derived from a DFT-relaxed cell (GGA-PBE, Alexandria), using Cu Kα (λ = 1.5418 Å).
Neutral-atom scattering factors, no anomalous dispersion.

Crystal structure
Cell: 6.334 6.334 6.334 Å, 109.47 109.47 109.47°
Positions (direct):
1 Ho 0.000 0.500 0.500
2 Ho 0.500 0.000 0.500
3 Ho 0.500 0.500 0.000
4 Ni 0.000 0.000 0.770
5 Ni 0.000 0.770 0.000
6 Ni 0.230 0.230 0.230
7 Ni 0.770 0.000 0.000
8 Ir 0.000 0.000 0.408
9 Ir 0.000 0.408 0.000
10 Ir 0.408 0.000 0.000
11 Ir 0.592 0.592 0.592

Largest 8 diffraction maxima, sorted by position, 2θ = 10–90°:
2θ/deg, I (rel.)
29.92, 30
34.69, 100
38.94, 26
46.45, 27
53.12, 33
62.18, 20
65.02, 11
81.04, 15